Structure and theoretical powder diffractogram of MgNb4N4O4 (the PBE geometry in the Materials Project; Cu Kα).
Peak positions follow from Bragg's law for the DFT cell and can differ from measured ones.

Most intense lines, 2θ from 5° to 70°, sorted by position:
2θ 13.67, I = 75; 2θ 23.78, I = 100; 2θ 25.85, I = 34; 2θ 28.63, I = 35; 2θ 31.69, I = 38; 2θ 34.12, I = 34; 2θ 36.69, I = 32; 2θ 41.85, I = 46; 2θ 46.59, I = 49; 2θ 51.21, I = 36

Atomic structure:
```
data_MgNb4N4O4
_chemical_formula_sum 'Mg1 Nb4 N4 O4'
_cell_length_a 3.8993
_cell_length_b 6.8499
_cell_length_c 7.2911
_cell_angle_alpha 71.70
_cell_angle_beta 74.49
_cell_angle_gamma 89.99
_space_group_name_H-M_alt 'P 1'
_space_group_IT_number 1
_space_group_name_Hall 'P 1'
loop_
_atom_site_label
_atom_site_type_symbol
_atom_site_fract_x
_atom_site_fract_y
_atom_site_fract_z
Mg1 Mg 0.0000 0.0000 0.0000
Nb1 Nb 0.5134 0.6785 0.9728
Nb2 Nb 0.6089 0.3498 0.7817
Nb3 Nb 0.7917 0.6750 0.4118
Nb4 Nb 0.8811 0.3121 0.2377
N1 N 0.4406 0.3600 0.1184
N2 N 0.6490 0.6752 0.7014
N3 N 0.7496 0.3371 0.5005
N4 N 0.9605 0.6719 0.0786
O1 O 0.0777 0.3037 0.8444
O2 O 0.3175 0.6870 0.3634
O3 O 0.5418 0.9982 0.9163
O4 O 0.8598 0.0180 0.2798
```